Starting from a PBE-relaxed structure, the powder X-ray diffraction pattern of MnSnSe4 was simulated for Cu Kα.
No peak broadening, texture or thermal motion is included.

Largest 6 diffraction maxima, in order of rising 2θ, 2θ = 10–90°:
d = 6.647 Å, 2θ 13.32, I = 1000
d = 2.957 Å, 2θ 30.22, I = 401
d = 2.876 Å, 2θ 31.09, I = 919
d = 2.297 Å, 2θ 39.23, I = 414
d = 1.876 Å, 2θ 48.53, I = 287
d = 1.830 Å, 2θ 49.83, I = 323

Structural model:
Cell lengths 7.5828, 7.5828, 6.5463 Å; angles 114.56, 114.56, 28.04 degrees
Positions (direct):
Mn: 0.0000 0.0000 0.0000
Sn: 0.5000 0.5000 0.5000
Se: 0.1153 0.1153 0.4119
Se: 0.3916 0.3916 0.0414
Se: 0.6084 0.6084 0.9586
Se: 0.8847 0.8847 0.5881